For Pr2HPbO, a cell relaxed with GGA-PBE gives the computed powder diffractogram in this record (CuKα).
No peak broadening, texture or thermal motion is included.

Crystal structure
Cell: 3.941 3.941 13.925 Å, 90.00 90.00 90.00°
Space group I-4m2 (No. 119)
Unique sites:
Pr  0.000  0.000  0.154 x4
H  0.000  0.500  0.750 x2
Pb  0.000  0.000  0.500 x2
O  0.000  0.500  0.250 x2

Most intense lines, 2θ = 10–90°, by intensity:
29.74°, d 3.004, intensity 100; 32.12°, d 2.787, intensity 39; 55.79°, d 1.648, intensity 35; 51.23°, d 1.783, intensity 22; 46.06°, d 1.971, intensity 17; 61.76°, d 1.502, intensity 11; 38.80°, d 2.321, intensity 10; 89.20°, d 1.098, intensity 9; 83.06°, d 1.163, intensity 9; 64.73°, d 1.440, intensity 9

=====

For HRuPb2O6, a cell relaxed with GGA-PBE gives the computed powder diffractogram in this record (CuKα).
No peak broadening, texture or thermal motion is included.

Crystal structure
Cell: 7.637 9.192 5.282 Å, 90.00 130.38 90.00°
Space group Cm (No. 8)
Unique sites:
H  0.000  0.000  0.000 x2
Ru  0.193  0.500  0.316 x2
Pb  0.145  0.202  0.675 x4
O  0.022  0.000  0.834 x2
O  0.098  0.500  0.545 x2
O  0.214  0.290  0.314 x4
O  0.424  0.000  0.886 x2
O  0.445  0.500  0.308 x2

Most intense lines, 2θ = 10–90°, by intensity:
19.38°, d 4.580, intensity 100; 30.52°, d 2.929, intensity 76; 29.51°, d 3.027, intensity 72; 22.09°, d 4.024, intensity 63; 33.04°, d 2.711, intensity 61; 30.74°, d 2.909, intensity 59; 34.00°, d 2.637, intensity 40; 23.41°, d 3.800, intensity 36; 52.73°, d 1.736, intensity 29; 39.40°, d 2.287, intensity 25

=====

For Sc2HPbO, a cell relaxed with GGA-PBE gives the computed powder diffractogram in this record (CuKα).
No peak broadening, texture or thermal motion is included.

Crystal structure
Cell: 3.547 3.547 12.583 Å, 90.00 90.00 90.00°
Space group I-4m2 (No. 119)
Unique sites:
Sc  0.000  0.000  0.161 x4
H  0.000  0.500  0.750 x2
Pb  0.000  0.000  0.500 x2
O  0.000  0.500  0.250 x2

Most intense lines, 2θ = 10–90°, by intensity:
33.07°, d 2.709, intensity 100; 26.10°, d 3.414, intensity 51; 14.08°, d 6.292, intensity 41; 35.80°, d 2.508, intensity 36; 62.60°, d 1.484, intensity 31; 38.64°, d 2.330, intensity 26; 57.26°, d 1.609, intensity 22; 44.12°, d 2.053, intensity 16; 51.52°, d 1.774, intensity 16; 58.66°, d 1.574, intensity 14

=====

For HPdO2, a cell relaxed with GGA-PBE gives the computed powder diffractogram in this record (CuKα).
No peak broadening, texture or thermal motion is included.

Crystal structure
Cell: 5.297 6.655 5.334 Å, 90.00 116.89 90.00°
Space group C2/c (No. 15)
Unique sites:
H  0.000  0.190  0.250 x4
Pd  0.000  0.139  0.750 x4
O  0.185  0.140  0.184 x8

Most intense lines, 2θ = 10–90°, by intensity:
23.09°, d 3.852, intensity 100; 23.76°, d 3.744, intensity 99; 43.72°, d 2.071, intensity 51; 37.82°, d 2.379, intensity 38; 32.85°, d 2.727, intensity 36; 45.15°, d 2.008, intensity 29; 53.79°, d 1.704, intensity 26; 34.96°, d 2.566, intensity 21; 60.40°, d 1.533, intensity 21; 36.34°, d 2.472, intensity 18

=====

For HPdO2, a cell relaxed with GGA-PBE gives the computed powder diffractogram in this record (CuKα).
No peak broadening, texture or thermal motion is included.

Crystal structure
Cell: 3.093 11.848 4.513 Å, 90.00 90.00 90.00°
Space group Cmc2_1 (No. 36)
Unique sites:
H  0.000  0.017  0.000 x4
Pd  0.000  0.322  0.680 x4
O  0.000  0.061  0.192 x4
O  0.000  0.293  0.182 x4

Most intense lines, 2θ = 10–90°, by intensity:
24.80°, d 3.590, intensity 100; 14.95°, d 5.924, intensity 97; 36.91°, d 2.435, intensity 70; 36.01°, d 2.494, intensity 54; 55.52°, d 1.655, intensity 39; 39.95°, d 2.257, intensity 35; 36.28°, d 2.476, intensity 26; 52.72°, d 1.736, intensity 23; 48.39°, d 1.881, intensity 21; 64.49°, d 1.445, intensity 17

=====

For HPdO2, a cell relaxed with GGA-PBE gives the computed powder diffractogram in this record (CuKα).
No peak broadening, texture or thermal motion is included.

Crystal structure
Cell: 5.762 6.244 5.410 Å, 90.00 119.60 90.00°
Space group Cc (No. 9)
Unique sites:
H  0.000  0.229  0.000 x4
Pd  0.083  0.137  0.502 x4
O  0.276  0.135  0.931 x4
O  0.382  0.360  0.546 x4

Most intense lines, 2θ = 10–90°, by intensity:
22.76°, d 3.908, intensity 100; 23.33°, d 3.813, intensity 100; 42.73°, d 2.116, intensity 56; 38.26°, d 2.352, intensity 37; 34.48°, d 2.601, intensity 32; 47.29°, d 1.922, intensity 22; 35.05°, d 2.560, intensity 22; 36.20°, d 2.481, intensity 19; 59.73°, d 1.548, intensity 19; 57.64°, d 1.599, intensity 18

=====

For Sr3H2PdO6, a cell relaxed with GGA-PBE gives the computed powder diffractogram in this record (CuKα).
No peak broadening, texture or thermal motion is included.

Crystal structure
Cell: 5.3747 5.3747 6.3439 Å, 90.00 90.00 120.00°
Space group P-3m1 (No. 164)
Unique sites:
Sr  0.0000  0.0000  0.0000 x1
Sr  0.3333  0.6667  0.6574 x2
H  0.3333  0.6667  0.2981 x2
Pd  0.0000  0.0000  0.5000 x1
O  0.1761  0.3523  0.2985 x6

Most intense lines, 2θ = 10–90°, by intensity:
34.21°, d 2.621, intensity 100; 33.34°, d 2.687, intensity 98; 48.52°, d 1.876, intensity 60; 13.96°, d 6.344, intensity 53; 19.07°, d 4.655, intensity 47; 41.32°, d 2.185, intensity 39; 60.14°, d 1.538, intensity 37; 23.71°, d 3.753, intensity 35; 61.80°, d 1.501, intensity 20; 81.76°, d 1.178, intensity 19